Computed powder diffraction line list of Rb3Os2Br9 for CuKα, from a structure optimized by DFT (GGA-PBE).
No peak broadening, texture or thermal motion is included.

Crystal structure
Cell lengths 7.6076, 7.6076, 18.5600 Å; angles 90.00, 90.00, 120.00 degrees
Space group P6_3/mmc (No. 194)
One atom of each set of equivalent atoms:
Rb: 0.0000 0.0000 0.2500
Rb: 0.3333 0.6667 0.0617
Os: 0.3333 0.6667 0.6768
Br: 0.0068 0.5034 0.7500
Br: 0.1779 0.3557 0.5973

Largest 6 diffraction maxima, by intensity, 10 to 90 degrees two-theta:
2θ/deg	I (rel.)
14.27	100
30.75	53
43.81	38
47.83	38
33.36	37
36.44	28